Theoretical X-ray powder pattern of BaGaGe3 for copper Kα, from a GGA-PBE-relaxed structure.
Kinematic intensities with the Lorentz-polarization factor, no thermal factor.

Principal peaks in the range 2θ from 10° to 80°, low angle first:
| 2θ/deg | Rel. int. |
| --- | --- |
| 24.8 | 11 |
| 25.9 | 21 |
| 30.6 | 100 |
| 30.8 | 28 |
| 34.3 | 28 |
| 40.0 | 39 |
| 42.4 | 34 |
| 47.8 | 12 |
| 53.3 | 14 |
| 53.6 | 15 |
| 59.6 | 16 |
| 66.8 | 12 |

Structural model:
```
data_BaGaGe3
_space_group_name_H-M_alt 'C m c m'
_space_group_IT_number 63
_space_group_name_Hall '-C 2c 2'
_cell_length_a 4.5113
_cell_length_b 26.4933
_cell_length_c 4.2674
_cell_angle_alpha 90.00
_cell_angle_beta 90.00
_cell_angle_gamma 90.00
loop_
_atom_site_label
_atom_site_fract_x
_atom_site_fract_y
_atom_site_fract_z
_atom_site_occupancy
Ba1 0.0000 0.0820 0.2500 1
Ga1 0.0000 0.2002 0.7500 1
Ge1 0.0000 0.2976 0.7500 1
Ge2 0.0000 0.3554 0.2500 1
Ge3 0.0000 0.4736 0.2500 1
```

***

Theoretical X-ray powder pattern of Ba4Ga3Ge for copper Kα, from a GGA-PBE-relaxed structure.
Kinematic intensities with the Lorentz-polarization factor, no thermal factor.

Principal peaks in the range 2θ from 10° to 80°, low angle first:
| 2θ/deg | Rel. int. |
| --- | --- |
| 24.3 | 16 |
| 27.6 | 100 |
| 34.2 | 32 |
| 34.6 | 15 |
| 35.9 | 19 |
| 40.2 | 14 |
| 47.5 | 11 |
| 49.5 | 16 |
| 55.0 | 11 |
| 59.6 | 11 |
| 61.0 | 11 |
| 69.3 | 13 |

Structural model:
```
data_Ba4Ga3Ge
_space_group_name_H-M_alt 'P m m 2'
_space_group_IT_number 25
_space_group_name_Hall 'P 2 -2'
_cell_length_a 4.4823
_cell_length_b 5.0010
_cell_length_c 12.6927
_cell_angle_alpha 90.00
_cell_angle_beta 90.00
_cell_angle_gamma 90.00
loop_
_atom_site_label
_atom_site_fract_x
_atom_site_fract_y
_atom_site_fract_z
_atom_site_occupancy
Ba1 0.0000 0.0000 0.0000 1
Ba2 0.0000 0.5000 0.4892 1
Ba3 0.5000 0.0000 0.7106 1
Ba4 0.5000 0.5000 0.2141 1
Ga1 0.0000 0.5000 0.8024 1
Ga2 0.5000 0.0000 0.4117 1
Ga3 0.5000 0.5000 0.9078 1
Ge1 0.0000 0.0000 0.2892 1
```